This entry pairs a crystal structure of Li7Cd3 with its simulated powder XRD pattern. Radiation: Cu Kα. Structure: a PBE-relaxed structure.

Cell and atoms:
abc: 7.839 7.839 5.794
angles: 104.38 104.38 32.36
Fractional coordinates of all 10 atoms:
1 Li 0.000 0.000 0.000
2 Li 0.200 0.200 0.610
3 Li 0.398 0.398 0.688
4 Li 0.399 0.399 0.193
5 Li 0.601 0.601 0.807
6 Li 0.602 0.602 0.312
7 Li 0.800 0.800 0.390
8 Cd 0.000 0.000 0.500
9 Cd 0.199 0.199 0.113
10 Cd 0.801 0.801 0.887

Principal peaks in the range 10° ≤ 2θ ≤ 90°, low angle first:
2θ 17.31, rel. 41.2
2θ 21.24, rel. 65.8
2θ 22.41, rel. 97.9
2θ 24.48, rel. 22.0
2θ 25.55, rel. 34.1
2θ 27.54, rel. 46.1
2θ 29.33, rel. 100.0
2θ 37.13, rel. 80.6
2θ 37.31, rel. 69.2
2θ 41.34, rel. 26.1
2θ 42.56, rel. 23.4
2θ 47.52, rel. 25.6



This entry pairs a crystal structure of SmMgS3 with its simulated powder XRD pattern. Radiation: Cu Kα. Structure: a PBE-relaxed structure.

Cell and atoms:
abc: 7.023 7.023 7.023
angles: 58.95 58.95 58.95
Fractional coordinates of all 10 atoms:
1 Sm 0.145 0.145 0.145
2 Sm 0.855 0.855 0.855
3 Mg 0.349 0.349 0.349
4 Mg 0.651 0.651 0.651
5 S 0.063 0.723 0.456
6 S 0.277 0.544 0.937
7 S 0.456 0.063 0.723
8 S 0.544 0.937 0.277
9 S 0.723 0.456 0.063
10 S 0.937 0.277 0.544

Principal peaks in the range 10° ≤ 2θ ≤ 90°, low angle first:
2θ 15.33, rel. 46.8
2θ 15.66, rel. 56.5
2θ 18.01, rel. 29.3
2θ 25.37, rel. 77.2
2θ 25.78, rel. 59.2
2θ 30.13, rel. 100.0
2θ 30.31, rel. 22.4
2θ 36.48, rel. 43.5
2θ 39.37, rel. 21.5
2θ 40.70, rel. 62.6
2θ 45.21, rel. 41.7
2θ 45.46, rel. 52.5



This entry pairs a crystal structure of Li8PaO6 with its simulated powder XRD pattern. Radiation: Cu Kα. Structure: a PBE-relaxed structure.

Cell and atoms:
abc: 5.872 5.872 11.044
angles: 90.00 90.00 120.00
Fractional coordinates of all 30 atoms:
1 Li 0.000 0.318 0.000
2 Li 0.000 0.437 0.355
3 Li 0.000 0.563 0.855
4 Li 0.000 0.682 0.500
5 Li 0.318 0.000 0.000
6 Li 0.318 0.318 0.500
7 Li 0.333 0.667 0.133
8 Li 0.333 0.667 0.633
9 Li 0.437 0.000 0.355
10 Li 0.437 0.437 0.855
11 Li 0.563 0.000 0.855
12 Li 0.563 0.563 0.355
13 Li 0.667 0.333 0.133
14 Li 0.667 0.333 0.633
15 Li 0.682 0.000 0.500
16 Li 0.682 0.682 0.000
17 Pa 0.000 0.000 0.230
18 Pa 0.000 0.000 0.730
19 O 0.000 0.000 0.425
20 O 0.000 0.000 0.925
21 O 0.000 0.346 0.180
22 O 0.000 0.654 0.680
23 O 0.333 0.667 0.444
24 O 0.333 0.667 0.944
25 O 0.346 0.000 0.180
26 O 0.346 0.346 0.680
27 O 0.654 0.000 0.680
28 O 0.654 0.654 0.180
29 O 0.667 0.333 0.444
30 O 0.667 0.333 0.944

Principal peaks in the range 10° ≤ 2θ ≤ 90°, low angle first:
2θ 16.05, rel. 36.4
2θ 17.44, rel. 93.8
2θ 23.79, rel. 100.0
2θ 30.44, rel. 33.7
2θ 34.60, rel. 24.0
2θ 35.30, rel. 20.7
2θ 37.05, rel. 33.6
2θ 39.00, rel. 30.6
2θ 45.07, rel. 20.7
2θ 47.29, rel. 15.8
2θ 50.26, rel. 28.8
2θ 58.51, rel. 18.4